This entry pairs a crystal structure of KMgZrS3 with its theoretical X-ray diffraction stick pattern. Radiation: copper Kα. Structure: DFT lattice parameters and positions (GGA-PBE).
Neutral-atom scattering factors, no anomalous dispersion.

Structural model:
```
data_KMgZrS3
_cell_length_a 8.6188
_cell_length_b 3.8652
_cell_length_c 9.4512
_cell_angle_alpha 90.00
_cell_angle_beta 109.79
_cell_angle_gamma 90.00
_space_group_name_H-M_alt 'P 1 21/m 1'
_space_group_IT_number 11
_space_group_name_Hall '-P 2yb'
loop_
_atom_site_label
_atom_site_fract_x
_atom_site_fract_y
_atom_site_fract_z
_atom_site_occupancy
K1 0.2091 0.2500 0.2351 1
Mg1 0.0904 0.2500 0.6178 1
Zr1 0.3527 0.7500 0.8813 1
S1 0.1328 0.2500 0.8790 1
S2 0.2087 0.7500 0.5433 1
S3 0.4699 0.7500 0.1684 1
```

Top 10 peaks for 2θ = 10–90°, in order of falling intensity:
2theta, intensity, h k l
12.02, 100, 1 0 -1
31.19, 64, 2 1 -1
31.99, 43, 2 1 0
35.59, 26, 1 0 3
45.82, 24, 2 1 -4
36.81, 21, 1 1 -3
30.15, 19, 0 0 3
47.02, 17, 0 2 0
50.90, 17, 3 1 2
39.08, 16, 3 1 -1